Theoretical XRD peak list of NbCrW for Cu Kα (weighted mean of Kα1 and Kα2), from DFT lattice parameters and positions (GGA-PBE).
Peak positions follow from Bragg's law for the DFT cell and can differ from measured ones.

The 8 most intense peaks (10 to 90 degrees two-theta), most intense first:
2θ = 42.00°, intensity 100.0
2θ = 25.35°, intensity 80.2
2θ = 49.70°, intensity 39.7
2θ = 76.73°, intensity 32.8
2θ = 67.05°, intensity 16.3
2θ = 60.90°, intensity 16.3
2θ = 82.35°, intensity 12.5
2θ = 29.36°, intensity 1.0

Cell and atoms:
a b c (Å): 6.085 6.085 6.085
angles (deg): 90.00 90.00 90.00
Atoms (fractional coordinates):
Nb (0.000, 0.000, 0.000)
Nb (0.000, 0.500, 0.500)
Nb (0.500, 0.000, 0.500)
Nb (0.500, 0.500, 0.000)
Cr (0.000, 0.000, 0.500)
Cr (0.000, 0.500, 0.000)
Cr (0.500, 0.000, 0.000)
Cr (0.500, 0.500, 0.500)
W (0.250, 0.250, 0.250)
W (0.250, 0.750, 0.750)
W (0.750, 0.250, 0.750)
W (0.750, 0.750, 0.250)

***

Theoretical XRD peak list of BaSrEuSbO6 for Cu Kα (weighted mean of Kα1 and Kα2), from DFT lattice parameters and positions (GGA-PBE).
Peak positions follow from Bragg's law for the DFT cell and can differ from measured ones.

The 8 most intense peaks (10 to 90 degrees two-theta), most intense first:
2θ = 29.62°, intensity 100.0
2θ = 52.56°, intensity 42.7
2θ = 42.39°, intensity 28.5
2θ = 85.12°, intensity 22.3
2θ = 69.73°, intensity 18.1
2θ = 61.50°, intensity 17.1
2θ = 77.54°, intensity 5.5
2θ = 20.83°, intensity 4.1

Cell and atoms:
a b c (Å): 8.528 8.529 8.532
angles (deg): 90.00 90.00 90.00
Atoms (fractional coordinates):
Ba (0.000, 0.000, 0.000)
Ba (0.000, 0.000, 0.500)
Ba (0.500, 0.000, 0.000)
Ba (0.500, 0.500, 0.000)
Sr (0.000, 0.500, 0.000)
Sr (0.000, 0.500, 0.500)
Sr (0.500, 0.000, 0.500)
Sr (0.500, 0.500, 0.500)
Eu (0.250, 0.252, 0.252)
Eu (0.250, 0.748, 0.748)
Eu (0.750, 0.252, 0.748)
Eu (0.750, 0.748, 0.252)
Sb (0.251, 0.253, 0.746)
Sb (0.251, 0.747, 0.254)
Sb (0.749, 0.253, 0.254)
Sb (0.749, 0.747, 0.746)
O (0.018, 0.283, 0.715)
O (0.018, 0.717, 0.285)
O (0.220, 0.284, 0.980)
O (0.220, 0.716, 0.020)
O (0.226, 0.019, 0.772)
O (0.226, 0.981, 0.228)
O (0.282, 0.218, 0.514)
O (0.282, 0.485, 0.713)
O (0.282, 0.515, 0.287)
O (0.282, 0.782, 0.486)
O (0.484, 0.230, 0.776)
O (0.484, 0.770, 0.224)
O (0.516, 0.230, 0.224)
O (0.516, 0.770, 0.776)
O (0.718, 0.218, 0.486)
O (0.718, 0.485, 0.287)
O (0.718, 0.515, 0.713)
O (0.718, 0.782, 0.514)
O (0.774, 0.019, 0.228)
O (0.774, 0.981, 0.772)
O (0.780, 0.284, 0.020)
O (0.780, 0.716, 0.980)
O (0.982, 0.283, 0.285)
O (0.982, 0.717, 0.715)

***

Theoretical XRD peak list of Tb2Ga3Fe14C2 for Cu Kα (weighted mean of Kα1 and Kα2), from DFT lattice parameters and positions (GGA-PBE).
Peak positions follow from Bragg's law for the DFT cell and can differ from measured ones.

The 8 most intense peaks (10 to 90 degrees two-theta), most intense first:
2θ = 42.13°, intensity 100.0
2θ = 41.62°, intensity 73.1
2θ = 29.68°, intensity 65.8
2θ = 43.24°, intensity 46.8
2θ = 41.99°, intensity 46.5
2θ = 35.95°, intensity 37.1
2θ = 41.82°, intensity 34.9
2θ = 43.36°, intensity 24.3

Cell and atoms:
a b c (Å): 6.521 6.521 6.526
angles (deg): 96.60 96.60 82.99
Atoms (fractional coordinates):
Tb (0.153, 0.153, 0.340)
Tb (0.847, 0.847, 0.660)
Ga (0.000, 0.500, 0.000)
Ga (0.500, 0.000, 0.000)
Ga (0.500, 0.500, 0.500)
Fe (0.150, 0.653, 0.349)
Fe (0.151, 0.151, 0.847)
Fe (0.209, 0.791, 0.000)
Fe (0.214, 0.500, 0.715)
Fe (0.347, 0.850, 0.651)
Fe (0.409, 0.409, 0.093)
Fe (0.500, 0.214, 0.715)
Fe (0.500, 0.786, 0.285)
Fe (0.591, 0.591, 0.907)
Fe (0.653, 0.150, 0.349)
Fe (0.786, 0.500, 0.285)
Fe (0.791, 0.209, 0.000)
Fe (0.849, 0.849, 0.153)
Fe (0.850, 0.347, 0.651)
C (0.000, 0.500, 0.500)
C (0.500, 0.000, 0.500)

***

Theoretical XRD peak list of Ba2ErReO6 for Cu Kα (weighted mean of Kα1 and Kα2), from DFT lattice parameters and positions (GGA-PBE).
Peak positions follow from Bragg's law for the DFT cell and can differ from measured ones.

The 8 most intense peaks (10 to 90 degrees two-theta), most intense first:
2θ = 29.97°, intensity 100.0
2θ = 53.17°, intensity 27.4
2θ = 42.93°, intensity 18.4
2θ = 62.24°, intensity 14.6
2θ = 53.27°, intensity 13.5
2θ = 42.81°, intensity 9.3
2θ = 86.30°, intensity 9.2
2θ = 70.67°, intensity 9.0

Cell and atoms:
a b c (Å): 5.965 5.952 10.339
angles (deg): 90.00 125.19 90.00
Atoms (fractional coordinates):
Ba (0.250, 0.004, 0.250)
Ba (0.250, 0.496, 0.750)
Ba (0.750, 0.504, 0.250)
Ba (0.750, 0.996, 0.750)
Er (0.000, 0.000, 0.500)
Er (0.000, 0.500, 0.000)
Re (0.500, 0.000, 0.000)
Re (0.500, 0.500, 0.500)
O (0.244, 0.000, 0.764)
O (0.244, 0.500, 0.264)
O (0.264, 0.726, 0.510)
O (0.264, 0.774, 0.010)
O (0.284, 0.247, 0.010)
O (0.284, 0.253, 0.510)
O (0.716, 0.747, 0.490)
O (0.716, 0.753, 0.990)
O (0.736, 0.226, 0.990)
O (0.736, 0.274, 0.490)
O (0.756, 0.000, 0.236)
O (0.756, 0.500, 0.736)